Diffraction record for DyCoGe4. The PXRD pattern is simulated, not measured: it uses a cell relaxed with GGA-PBE and λ = 1.5418 Å (Cu Kα).
Lines closer than 0.1° are merged.

Structural model:
```
data_DyCoGe4
_space_group_name_H-M_alt 'P 42/n m c'
_space_group_IT_number 137
_cell_length_a 4.9941
_cell_length_b 4.9941
_cell_length_c 9.8421
_cell_angle_alpha 90.00
_cell_angle_beta 90.00
_cell_angle_gamma 90.00
loop_
_space_group_symop_operation_xyz
'x,y,z'
'-x,-y,-z'
'-y+1/2,x,z+1/2'
'y+1/2,-x,-z+1/2'
'-x+1/2,-y+1/2,z'
'x+1/2,y+1/2,-z'
'y,-x+1/2,z+1/2'
'-y,x+1/2,-z+1/2'
'x+1/2,-y,-z'
'-x+1/2,y,z'
'-y,-x,-z+1/2'
'y,x,z+1/2'
'-x,y+1/2,-z'
'x,-y+1/2,z'
'y+1/2,x+1/2,-z+1/2'
'-y+1/2,-x+1/2,z+1/2'
loop_
_atom_site_label
_atom_site_fract_x
_atom_site_fract_y
_atom_site_fract_z
Dy1 0.2500 0.7500 0.2500
Co1 0.2500 0.7500 0.7500
Ge1 0.0044 0.2500 0.0581
```

The 8 most intense peaks (10 to 90 degrees two-theta), by intensity:
hkl  2theta  I/Imax
1 1 2  31.2  100
2 0 1  37.1  95
1 0 3  32.7  88
1 1 0  25.2  76
2 2 2  55.3  74
2 0 2  40.5  46
2 1 1  41.5  41
1 0 2  25.4  35